[1]
# Cu3PbS4
Computed PXRD pattern, Cu Kα. Input: a DFT-relaxed cell (PBE, OQMD).

Atomic structure:
```
Cu3PbS4
1.0
5.461 0.000 0.000
0.000 5.461 0.000
0.000 0.000 10.801
Cu Pb S
6 2 8
Direct
0.000 0.000 0.000 Cu
0.000 0.500 0.250 Cu
0.000 0.500 0.750 Cu
0.500 0.000 0.250 Cu
0.500 0.000 0.750 Cu
0.500 0.500 0.500 Cu
0.000 0.000 0.500 Pb
0.500 0.500 0.000 Pb
0.223 0.223 0.862 S
0.223 0.777 0.138 S
0.277 0.277 0.362 S
0.277 0.723 0.638 S
0.723 0.277 0.638 S
0.723 0.723 0.362 S
0.777 0.223 0.138 S
0.777 0.777 0.862 S
```

Peak list (6 most intense, 15 to 90 degrees two-theta, in order of rising 2θ)
- 2θ = 18.2°, d = 4.873 Å, intensity 207
- 2θ = 28.4°, d = 3.141 Å, intensity 1000
- 2θ = 32.8°, d = 2.730 Å, intensity 152
- 2θ = 47.1°, d = 1.931 Å, intensity 183
- 2θ = 47.3°, d = 1.920 Å, intensity 361
- 2θ = 55.9°, d = 1.645 Å, intensity 288



[2]
# YCuPbSe2S
Computed PXRD pattern, Cu Kα. Input: a DFT-relaxed cell (PBE, OQMD).

Atomic structure:
```
YCuPbSe2S
1.0
2.011 -6.748 0.000
2.011 6.748 0.000
0.000 0.000 10.286
Y Cu Pb Se S
2 2 2 4 2
Direct
0.000 0.000 0.000 Y
0.000 0.000 0.500 Y
0.473 0.527 0.750 Cu
0.527 0.473 0.250 Cu
0.255 0.745 0.250 Pb
0.745 0.255 0.750 Pb
0.356 0.644 0.564 Se
0.356 0.644 0.936 Se
0.644 0.356 0.064 Se
0.644 0.356 0.436 Se
0.070 0.930 0.750 S
0.930 0.070 0.250 S
```

Peak list (6 most intense, 15 to 90 degrees two-theta, in order of rising 2θ)
- 2θ = 21.7°, d = 4.091 Å, intensity 445
- 2θ = 24.7°, d = 3.610 Å, intensity 323
- 2θ = 31.1°, d = 2.879 Å, intensity 1000
- 2θ = 31.7°, d = 2.821 Å, intensity 358
- 2θ = 34.6°, d = 2.590 Å, intensity 422
- 2θ = 35.0°, d = 2.562 Å, intensity 725



[3]
# YCuPbSe2S
Computed PXRD pattern, Cu Kα. Input: a DFT-relaxed cell (PBE, OQMD).

Atomic structure:
```
YCuPbSe2S
1.0
10.591 0.000 0.000
0.000 4.021 0.000
0.000 0.000 13.445
Y Cu Pb Se S
4 4 4 8 4
Direct
0.006 0.250 0.242 Y
0.494 0.750 0.742 Y
0.506 0.250 0.258 Y
0.994 0.750 0.758 Y
0.248 0.250 0.719 Cu
0.252 0.750 0.219 Cu
0.748 0.250 0.781 Cu
0.752 0.750 0.281 Cu
0.244 0.750 0.513 Pb
0.256 0.250 0.013 Pb
0.744 0.750 0.987 Pb
0.756 0.250 0.487 Pb
0.059 0.250 0.610 Se
0.246 0.750 0.833 Se
0.254 0.250 0.333 Se
0.441 0.750 0.110 Se
0.559 0.250 0.890 Se
0.746 0.750 0.667 Se
0.754 0.250 0.167 Se
0.941 0.750 0.390 Se
0.076 0.750 0.116 S
0.424 0.250 0.616 S
0.576 0.750 0.384 S
0.924 0.250 0.884 S
```

Peak list (6 most intense, 15 to 90 degrees two-theta, in order of rising 2θ)
- 2θ = 16.7°, d = 5.296 Å, intensity 304
- 2θ = 21.4°, d = 4.160 Å, intensity 324
- 2θ = 31.1°, d = 2.880 Å, intensity 1000
- 2θ = 33.9°, d = 2.648 Å, intensity 330
- 2θ = 34.4°, d = 2.604 Å, intensity 817
- 2θ = 39.5°, d = 2.283 Å, intensity 324



[4]
# TlCu3PbS4
Computed PXRD pattern, Cu Kα. Input: a DFT-relaxed cell (PBE, OQMD).

Atomic structure:
```
TlCu3PbS4
1.0
5.951 0.000 0.000
0.000 5.951 0.000
0.000 0.000 5.951
Tl Cu Pb S
1 3 1 4
Direct
0.000 0.000 0.000 Tl
0.000 0.500 0.500 Cu
0.500 0.000 0.500 Cu
0.500 0.500 0.000 Cu
0.500 0.500 0.500 Pb
0.248 0.248 0.248 S
0.248 0.752 0.752 S
0.752 0.248 0.752 S
0.752 0.752 0.248 S
```

Peak list (6 most intense, 15 to 90 degrees two-theta, in order of rising 2θ)
- 2θ = 21.1°, d = 4.208 Å, intensity 1000
- 2θ = 30.0°, d = 2.975 Å, intensity 437
- 2θ = 37.0°, d = 2.429 Å, intensity 498
- 2θ = 43.0°, d = 2.104 Å, intensity 795
- 2θ = 58.0°, d = 1.590 Å, intensity 284
- 2θ = 78.8°, d = 1.215 Å, intensity 262



[5]
# SrCu2Sb2Pb
Computed PXRD pattern, Cu Kα. Input: a DFT-relaxed cell (PBE, OQMD).

Atomic structure:
```
SrCu2Sb2Pb
1.0
4.517 0.000 0.000
-2.258 3.912 0.000
0.000 0.000 8.726
Sr Cu Sb Pb
1 2 2 1
Direct
0.000 0.000 0.000 Sr
0.333 0.667 0.266 Cu
0.667 0.333 0.738 Cu
0.333 0.667 0.749 Sb
0.667 0.333 0.250 Sb
0.000 0.000 0.500 Pb
```

Peak list (6 most intense, 15 to 90 degrees two-theta, in order of rising 2θ)
- 2θ = 30.7°, d = 2.912 Å, intensity 1000
- 2θ = 39.9°, d = 2.258 Å, intensity 476
- 2θ = 41.4°, d = 2.182 Å, intensity 172
- 2θ = 51.2°, d = 1.785 Å, intensity 244
- 2θ = 58.9°, d = 1.569 Å, intensity 292
- 2θ = 66.8°, d = 1.400 Å, intensity 212



[6]
# TlCu3PbSe4
Computed PXRD pattern, Cu Kα. Input: a DFT-relaxed cell (PBE, OQMD).

Atomic structure:
```
TlCu3PbSe4
1.0
6.194 0.000 0.000
0.000 6.194 0.000
0.000 0.000 6.194
Tl Cu Pb Se
1 3 1 4
Direct
0.000 0.000 0.000 Tl
0.000 0.500 0.500 Cu
0.500 0.000 0.500 Cu
0.500 0.500 0.000 Cu
0.500 0.500 0.500 Pb
0.249 0.249 0.249 Se
0.249 0.751 0.751 Se
0.751 0.249 0.751 Se
0.751 0.751 0.249 Se
```

Peak list (6 most intense, 15 to 90 degrees two-theta, in order of rising 2θ)
- 2θ = 20.3°, d = 4.380 Å, intensity 776
- 2θ = 24.9°, d = 3.576 Å, intensity 426
- 2θ = 35.5°, d = 2.529 Å, intensity 392
- 2θ = 41.2°, d = 2.190 Å, intensity 1000
- 2θ = 55.5°, d = 1.656 Å, intensity 228
- 2θ = 75.1°, d = 1.264 Å, intensity 335



[7]
# TbSm2Cu4Pb4
Computed PXRD pattern, Cu Kα. Input: a DFT-relaxed cell (PBE, OQMD).

Atomic structure:
```
TbSm2Cu4Pb4
1.0
-2.316 3.529 7.588
2.316 -3.529 7.588
2.316 3.529 -7.588
Tb Sm Cu Pb
1 2 4 4
Direct
0.000 0.000 0.000 Tb
0.368 0.868 0.500 Sm
0.632 0.132 0.500 Sm
0.016 0.330 0.686 Cu
0.356 0.670 0.686 Cu
0.644 0.330 0.314 Cu
0.984 0.670 0.314 Cu
0.215 0.215 0.000 Pb
0.290 0.500 0.790 Pb
0.710 0.500 0.210 Pb
0.785 0.785 0.000 Pb
```

Peak list (6 most intense, 15 to 90 degrees two-theta, in order of rising 2θ)
- 2θ = 26.1°, d = 3.416 Å, intensity 223
- 2θ = 32.1°, d = 2.788 Å, intensity 261
- 2θ = 32.4°, d = 2.760 Å, intensity 1000
- 2θ = 33.1°, d = 2.710 Å, intensity 878
- 2θ = 38.9°, d = 2.316 Å, intensity 459
- 2θ = 43.9°, d = 2.061 Å, intensity 378



[8]
# SmY2Cu4Pb4
Computed PXRD pattern, Cu Kα. Input: a DFT-relaxed cell (PBE, OQMD).

Atomic structure:
```
SmY2Cu4Pb4
1.0
-2.286 3.564 7.533
2.286 -3.564 7.533
2.286 3.564 -7.533
Sm Y Cu Pb
1 2 4 4
Direct
0.000 0.000 0.000 Sm
0.368 0.868 0.500 Y
0.632 0.132 0.500 Y
0.015 0.330 0.685 Cu
0.355 0.670 0.685 Cu
0.645 0.330 0.315 Cu
0.985 0.670 0.315 Cu
0.218 0.218 0.000 Pb
0.294 0.500 0.794 Pb
0.706 0.500 0.206 Pb
0.782 0.782 0.000 Pb
```

Peak list (6 most intense, 15 to 90 degrees two-theta, in order of rising 2θ)
- 2θ = 27.7°, d = 3.222 Å, intensity 277
- 2θ = 32.4°, d = 2.764 Å, intensity 1000
- 2θ = 33.3°, d = 2.692 Å, intensity 879
- 2θ = 39.4°, d = 2.286 Å, intensity 476
- 2θ = 44.1°, d = 2.055 Å, intensity 587
- 2θ = 44.6°, d = 2.031 Å, intensity 285



Which formula does entry 6 have?
TlCu3PbSe4